Starting from a PBE-relaxed structure, the powder diffraction line list of KZn2H4 was computed for Cu Kα X-rays.
Neutral-atom scattering factors, no anomalous dispersion.

Cell and atoms:
```
data_KZn2H4
_cell_length_a 6.444
_cell_length_b 6.444
_cell_length_c 5.431
_cell_angle_alpha 90.00
_cell_angle_beta 90.00
_cell_angle_gamma 90.00
_space_group_name_H-M_alt 'I 4/m'
_space_group_IT_number 87
_space_group_name_Hall '-I 4'
loop_
_atom_site_label
_atom_site_type_symbol
_atom_site_fract_x
_atom_site_fract_y
_atom_site_fract_z
K1 K 0.000 0.000 0.000
Zn1 Zn 0.000 0.500 0.250
H1 H 0.104 0.347 0.500
```

Principal peaks in the range 15 to 90 degrees two-theta, sorted by position:
d = 4.557 Å, 19.48 deg, I 75; d = 4.153 Å, 21.40 deg, I 19; d = 3.222 Å, 27.69 deg, I 100; d = 2.333 Å, 38.60 deg, I 78; d = 2.278 Å, 39.56 deg, I 37; d = 2.076 Å, 43.59 deg, I 18; d = 2.038 Å, 44.46 deg, I 16; d = 1.630 Å, 56.46 deg, I 50